Starting from a structure optimized by DFT (PBE), the powder XRD pattern of P2S7 was computed for a wavelength of 1.5418 Å.

Structural model:
Lattice parameters (Å, degrees): 6.7175 11.4694 13.0929 90.00 94.03 90.00
Sites, in units of the cell vectors:
P (0.0144, 0.1862, 0.0992)
P (0.0144, 0.3138, 0.5992)
P (0.3338, 0.7059, 0.8205)
P (0.3338, 0.7941, 0.3205)
P (0.6662, 0.2059, 0.6795)
P (0.6662, 0.2941, 0.1795)
P (0.9856, 0.6862, 0.4008)
P (0.9856, 0.8138, 0.9008)
S (0.0321, 0.6508, 0.8257)
S (0.0321, 0.8492, 0.3257)
S (0.0690, 0.2230, 0.9445)
S (0.0690, 0.2770, 0.4445)
S (0.1529, 0.6633, 0.1072)
S (0.1529, 0.8367, 0.6072)
S (0.2228, 0.0797, 0.1494)
S (0.2228, 0.4203, 0.6494)
S (0.2851, 0.6296, 0.3933)
S (0.2851, 0.8704, 0.8933)
S (0.3910, 0.7386, 0.6653)
S (0.3910, 0.7614, 0.1653)
S (0.4598, 0.1021, 0.6234)
S (0.4598, 0.3979, 0.1234)
S (0.5402, 0.6021, 0.8766)
S (0.5402, 0.8979, 0.3766)
S (0.6090, 0.2386, 0.8347)
S (0.6090, 0.2614, 0.3347)
S (0.7149, 0.1296, 0.1067)
S (0.7149, 0.3704, 0.6067)
S (0.7772, 0.5797, 0.3506)
S (0.7772, 0.9203, 0.8506)
S (0.8471, 0.1633, 0.3928)
S (0.8471, 0.3367, 0.8928)
S (0.9310, 0.7230, 0.5555)
S (0.9310, 0.7770, 0.0555)
S (0.9679, 0.1508, 0.6743)
S (0.9679, 0.3492, 0.1743)

Peak list (12 most intense, 10 to 80 degrees two-theta, most intense first)
Position (°2θ), I_rel
15.45, 100
15.31, 62
27.31, 54
31.26, 46
27.03, 45
15.62, 43
30.62, 39
28.31, 21
48.90, 20
25.08, 18
44.47, 17
18.29, 17